1.
Computed PXRD pattern
Compound: KMg6Nb
Radiation: Cu Kα (weighted mean of Kα1 and Kα2)
Structure: a GGA-PBE-relaxed structure
Lines closer than 0.1° are merged.

Structure:
Lattice parameters (Å, degrees): 6.524 6.524 5.132 90.00 90.00 120.00
Positions (direct):
K  0.000  0.000  0.000
Mg  0.025  0.512  0.000
Mg  0.350  0.175  0.500
Mg  0.488  0.512  0.000
Mg  0.488  0.975  0.000
Mg  0.825  0.175  0.500
Mg  0.825  0.650  0.500
Nb  0.333  0.667  0.500

Peak list (8 most intense, 10° ≤ 2θ ≤ 80°, in order of rising 2θ)
2θ (°)  d/Å  I_rel
15.7  5.650  32
23.4  3.799  28
31.7  2.825  27
35.0  2.566  25
36.3  2.475  100
56.4  1.631  17
63.6  1.463  18
68.1  1.376  18

2.
Computed PXRD pattern
Compound: CeDy12Er6
Radiation: Cu Kα (weighted mean of Kα1 and Kα2)
Structure: a GGA-PBE-relaxed structure
Lines closer than 0.1° are merged.

Structure:
Lattice parameters (Å, degrees): 8.648 8.648 8.648 99.33 99.33 99.33
Positions (direct):
Ce  0.000  0.000  0.000
Dy  0.079  0.351  0.351
Dy  0.243  0.500  0.757
Dy  0.243  0.757  0.500
Dy  0.351  0.079  0.351
Dy  0.351  0.351  0.079
Dy  0.500  0.243  0.757
Dy  0.500  0.757  0.243
Dy  0.649  0.649  0.921
Dy  0.649  0.921  0.649
Dy  0.757  0.243  0.500
Dy  0.757  0.500  0.243
Dy  0.921  0.649  0.649
Er  0.104  0.104  0.663
Er  0.104  0.663  0.104
Er  0.337  0.896  0.896
Er  0.663  0.104  0.104
Er  0.896  0.337  0.896
Er  0.896  0.896  0.337

Peak list (8 most intense, 10° ≤ 2θ ≤ 80°, in order of rising 2θ)
2θ (°)  d/Å  I_rel
30.1  2.972  51
31.8  2.816  52
32.1  2.791  63
32.2  2.781  100
34.6  2.590  36
34.9  2.570  33
35.0  2.562  28
57.5  1.603  25

3.
Computed PXRD pattern
Compound: Na10B19C
Radiation: Cu Kα (weighted mean of Kα1 and Kα2)
Structure: a GGA-PBE-relaxed structure
Lines closer than 0.1° are merged.

Structure:
Lattice parameters (Å, degrees): 11.795 11.795 10.214 105.64 105.64 14.39
Positions (direct):
Na  0.000  0.000  0.000
Na  0.100  0.100  0.699
Na  0.200  0.200  0.401
Na  0.300  0.300  0.099
Na  0.400  0.400  0.799
Na  0.500  0.500  0.498
Na  0.601  0.601  0.200
Na  0.700  0.700  0.900
Na  0.799  0.799  0.602
Na  0.901  0.901  0.296
B  0.017  0.017  0.282
B  0.083  0.083  0.416
B  0.120  0.120  0.989
B  0.185  0.185  0.121
B  0.216  0.216  0.682
B  0.284  0.284  0.816
B  0.375  0.375  0.500
B  0.417  0.417  0.083
B  0.484  0.484  0.216
B  0.519  0.519  0.787
B  0.582  0.582  0.914
B  0.617  0.617  0.482
B  0.683  0.683  0.616
B  0.721  0.721  0.191
B  0.787  0.787  0.324
B  0.816  0.816  0.882
B  0.883  0.883  0.017
B  0.915  0.915  0.579
B  0.978  0.978  0.705
C  0.316  0.316  0.382

Peak list (8 most intense, 10° ≤ 2θ ≤ 80°, in order of rising 2θ)
2θ (°)  d/Å  I_rel
33.8  2.655  23
34.7  2.583  38
39.6  2.276  51
40.0  2.252  49
40.6  2.224  100
40.8  2.213  98
41.7  2.166  69
61.0  1.519  37

4.
Computed PXRD pattern
Compound: Ac4PaRh5
Radiation: Cu Kα (weighted mean of Kα1 and Kα2)
Structure: a GGA-PBE-relaxed structure
Lines closer than 0.1° are merged.

Structure:
Lattice parameters (Å, degrees): 8.286 8.286 8.286 95.20 95.20 144.96
Positions (direct):
Ac  0.095  0.267  0.361
Ac  0.267  0.905  0.172
Ac  0.733  0.095  0.828
Ac  0.905  0.733  0.639
Pa  0.331  0.331  0.000
Rh  0.338  0.447  0.720
Rh  0.447  0.727  0.109
Rh  0.618  0.338  0.891
Rh  0.727  0.618  0.280
Rh  0.859  0.859  0.000

Peak list (8 most intense, 10° ≤ 2θ ≤ 80°, in order of rising 2θ)
2θ (°)  d/Å  I_rel
11.2  7.902  42
25.2  3.532  100
34.1  2.633  29
36.0  2.498  51
37.8  2.381  24
44.4  2.039  35
51.8  1.766  24
70.5  1.335  17